Theoretical X-ray diffraction stick pattern of NpBr3Cl for Cu Kα X-rays, from the PBE geometry in Alexandria.

Structure:
Cell lengths 10.1505, 4.2510, 9.3174 Å; angles 90.00, 90.00, 90.00 degrees
Element x y z (fractional)
Np 0.2500 0.0000 0.2373
Np 0.7500 0.0000 0.7627
Br 0.0618 0.5000 0.2374
Br 0.2500 0.0000 0.5229
Br 0.4382 0.5000 0.2374
Br 0.5618 0.5000 0.7626
Br 0.7500 0.0000 0.4771
Br 0.9382 0.5000 0.7626
Cl 0.2500 0.0000 0.9700
Cl 0.7500 0.0000 0.0300

Largest 12 diffraction maxima, sorted by position, 2θ from 10° to 80°:
d_spacing  Rel. int.  (hkl)
6.864  1000  1 0 1
5.075  187  2 0 0
4.659  215  0 0 2
3.614  133  1 1 1
3.259  523  2 1 0
2.970  215  1 0 3
2.670  151  2 1 2
2.547  324  3 1 1
2.435  103  1 1 3
2.329  105  0 0 4
2.015  224  3 1 3
1.895  185  2 1 4